# SrHg2As
Calculated powder diffractogram, Cu Ka. Input: a DFT-relaxed cell (GGA-PBE, Alexandria).
Intensities are scaled so that the largest is 100.

Principal peaks in the range 10° ≤ 2θ ≤ 80°, low angle first:
hkl 0 0 1, 15.08°, intensity 49
hkl 1 1 0, 29.70°, intensity 100
hkl 1 1 -1, 30.01°, intensity 100
hkl 1 1 1, 36.63°, intensity 41
hkl 0 1 2, 37.15°, intensity 62
hkl 2 0 -1, 40.14°, intensity 43

Cell and atoms:
a b c (Å): 4.495 4.269 6.229
angles (deg): 90.00 109.42 90.00
Space group Pm (No. 6)
Asymmetric unit:
Sr 0.000 0.000 0.000
Hg 0.286 0.000 0.560
Hg 0.701 0.500 0.393
As 0.462 0.500 0.910